1.
Theoretical XRD peak list of KPm2CoO4 for Cu Kα (λ = 1.5418 Å), from a DFT-relaxed cell (GGA+U, Alexandria).

```
KPm2CoO4
1.0
1.8451 -6.2658 0.0000
1.8451 6.2658 0.0000
0.0000 0.0000 11.8186
K Pm Co O
2 4 2 8
Direct
0.0646 0.9354 0.7500
0.9354 0.0646 0.2500
0.3690 0.6310 0.5625
0.3690 0.6310 0.9375
0.6310 0.3690 0.0625
0.6310 0.3690 0.4375
0.2316 0.7684 0.2500
0.7684 0.2316 0.7500
0.0000 0.0000 0.0000
0.0000 0.0000 0.5000
0.2435 0.7565 0.0927
0.2435 0.7565 0.4073
0.4163 0.5837 0.7500
0.5837 0.4163 0.2500
0.7565 0.2435 0.5927
0.7565 0.2435 0.9073
```

Main lines, in order of rising 2θ (2θ = 5–70°):
2θ/deg, d [Å], I_rel
15.0, 5.909, 35
16.0, 5.536, 58
25.2, 3.540, 35
26.7, 3.335, 100
29.4, 3.036, 55
32.4, 2.767, 84
33.3, 2.693, 62
34.0, 2.633, 59
35.8, 2.505, 42
46.1, 1.968, 38
49.4, 1.845, 44
50.8, 1.797, 36



2.
Theoretical XRD peak list of KPuCoO4 for Cu Kα (λ = 1.5418 Å), from a DFT-relaxed cell (GGA+U, Alexandria).

```
KPuCoO4
1.0
-3.2081 3.4811 4.9493
3.2081 -3.4811 4.9493
3.2081 3.4811 -4.9493
K Pu Co O
2 2 2 8
Direct
0.4085 0.1585 0.2500
0.5915 0.8415 0.7500
0.0000 0.5000 0.5000
0.5000 0.5000 0.0000
0.0000 0.0000 0.5000
0.0000 0.5000 0.0000
0.1524 0.7115 0.4410
0.2295 0.2885 0.9410
0.2511 0.2983 0.5472
0.2511 0.7040 0.9528
0.7489 0.2960 0.0472
0.7489 0.7017 0.4528
0.7705 0.7115 0.0590
0.8476 0.2885 0.5590
```

Main lines, in order of rising 2θ (2θ = 5–70°):
2θ/deg, d [Å], I_rel
16.5, 5.384, 100
17.9, 4.949, 19
27.8, 3.208, 13
30.5, 2.934, 30
30.6, 2.923, 55
31.4, 2.847, 27
33.3, 2.692, 17
36.3, 2.475, 14
38.1, 2.359, 23
42.4, 2.130, 14
50.9, 1.793, 23
53.7, 1.708, 23